1.
NdCoGe3: simulated PXRD pattern (λ = 1.5418 Å (Cu Kα)), based on a crystal structure in the Materials Project, relaxed with GGA-PBE.
Intensities are scaled so that the largest is 100.

Crystal structure
```
data_NdCoGe3
_chemical_formula_sum 'Nd1 Co1 Ge3'
_symmetry_space_group_name_H-M 'P 1'
_symmetry_Int_Tables_number 1
_symmetry_space_group_name_Hall 'P 1'
_cell_length_a 5.8260
_cell_length_b 5.8260
_cell_length_c 5.8260
_cell_angle_alpha 136.42
_cell_angle_beta 136.42
_cell_angle_gamma 63.34
loop_
_atom_site_label
_atom_site_fract_x
_atom_site_fract_y
_atom_site_fract_z
Nd1 0.0000 0.0000 0.0000
Co1 0.3333 0.3333 0.0000
Ge1 0.2410 0.7410 0.5000
Ge2 0.5641 0.5641 0.0000
Ge3 0.7410 0.2410 0.5000
```

Peak list (10 most intense, 5 to 70 degrees two-theta, by angle)
3.059 Å, rel. 13
2.626 Å, rel. 38
2.603 Å, rel. 100
2.479 Å, rel. 16
2.163 Å, rel. 55
1.803 Å, rel. 12
1.670 Å, rel. 19
1.630 Å, rel. 18
1.529 Å, rel. 18
1.454 Å, rel. 14

---

2.
BaCaSn4O8: simulated PXRD pattern (λ = 1.5418 Å (Cu Kα)), based on a crystal structure in the Materials Project, relaxed with GGA-PBE.
Intensities are scaled so that the largest is 100.

Crystal structure
```
data_BaCaSn4O8
_chemical_formula_sum 'Ba1 Ca1 Sn4 O8'
_symmetry_space_group_name_H-M 'P 1'
_symmetry_Int_Tables_number 1
_symmetry_space_group_name_Hall 'P 1'
_cell_length_a 6.1257
_cell_length_b 6.1257
_cell_length_c 7.0629
_cell_angle_alpha 90.00
_cell_angle_beta 90.00
_cell_angle_gamma 120.00
loop_
_atom_site_label
_atom_site_fract_x
_atom_site_fract_y
_atom_site_fract_z
Ba1 0.0000 0.0000 0.0000
Ca1 0.0000 0.0000 0.5000
Sn1 0.3333 0.6667 0.2856
Sn2 0.3333 0.6667 0.7144
Sn3 0.6667 0.3333 0.2856
Sn4 0.6667 0.3333 0.7144
O1 0.0000 0.3054 0.2916
O2 0.0000 0.6946 0.7084
O3 0.3054 0.0000 0.2916
O4 0.3054 0.3054 0.7084
O5 0.3333 0.6667 0.0000
O6 0.6667 0.3333 0.0000
O7 0.6946 0.0000 0.7084
O8 0.6946 0.6946 0.2916
```

Peak list (10 most intense, 5 to 70 degrees two-theta, by angle)
4.242 Å, rel. 16
3.531 Å, rel. 12
3.063 Å, rel. 100
2.940 Å, rel. 58
2.121 Å, rel. 26
1.867 Å, rel. 19
1.768 Å, rel. 34
1.744 Å, rel. 28
1.531 Å, rel. 28
1.414 Å, rel. 12

---

What is the formula in the second record? BaCaSn4O8

---

Copy entry 1 word for word.
NdCoGe3: simulated PXRD pattern (λ = 1.5418 Å (Cu Kα)), based on a crystal structure in the Materials Project, relaxed with GGA-PBE.
Intensities are scaled so that the largest is 100.

Crystal structure
```
data_NdCoGe3
_chemical_formula_sum 'Nd1 Co1 Ge3'
_symmetry_space_group_name_H-M 'P 1'
_symmetry_Int_Tables_number 1
_symmetry_space_group_name_Hall 'P 1'
_cell_length_a 5.8260
_cell_length_b 5.8260
_cell_length_c 5.8260
_cell_angle_alpha 136.42
_cell_angle_beta 136.42
_cell_angle_gamma 63.34
loop_
_atom_site_label
_atom_site_fract_x
_atom_site_fract_y
_atom_site_fract_z
Nd1 0.0000 0.0000 0.0000
Co1 0.3333 0.3333 0.0000
Ge1 0.2410 0.7410 0.5000
Ge2 0.5641 0.5641 0.0000
Ge3 0.7410 0.2410 0.5000
```

Peak list (10 most intense, 5 to 70 degrees two-theta, by angle)
3.059 Å, rel. 13
2.626 Å, rel. 38
2.603 Å, rel. 100
2.479 Å, rel. 16
2.163 Å, rel. 55
1.803 Å, rel. 12
1.670 Å, rel. 19
1.630 Å, rel. 18
1.529 Å, rel. 18
1.454 Å, rel. 14

---

Repeat the second record exactly.
BaCaSn4O8: simulated PXRD pattern (λ = 1.5418 Å (Cu Kα)), based on a crystal structure in the Materials Project, relaxed with GGA-PBE.
Intensities are scaled so that the largest is 100.

Crystal structure
```
data_BaCaSn4O8
_chemical_formula_sum 'Ba1 Ca1 Sn4 O8'
_symmetry_space_group_name_H-M 'P 1'
_symmetry_Int_Tables_number 1
_symmetry_space_group_name_Hall 'P 1'
_cell_length_a 6.1257
_cell_length_b 6.1257
_cell_length_c 7.0629
_cell_angle_alpha 90.00
_cell_angle_beta 90.00
_cell_angle_gamma 120.00
loop_
_atom_site_label
_atom_site_fract_x
_atom_site_fract_y
_atom_site_fract_z
Ba1 0.0000 0.0000 0.0000
Ca1 0.0000 0.0000 0.5000
Sn1 0.3333 0.6667 0.2856
Sn2 0.3333 0.6667 0.7144
Sn3 0.6667 0.3333 0.2856
Sn4 0.6667 0.3333 0.7144
O1 0.0000 0.3054 0.2916
O2 0.0000 0.6946 0.7084
O3 0.3054 0.0000 0.2916
O4 0.3054 0.3054 0.7084
O5 0.3333 0.6667 0.0000
O6 0.6667 0.3333 0.0000
O7 0.6946 0.0000 0.7084
O8 0.6946 0.6946 0.2916
```

Peak list (10 most intense, 5 to 70 degrees two-theta, by angle)
4.242 Å, rel. 16
3.531 Å, rel. 12
3.063 Å, rel. 100
2.940 Å, rel. 58
2.121 Å, rel. 26
1.867 Å, rel. 19
1.768 Å, rel. 34
1.744 Å, rel. 28
1.531 Å, rel. 28
1.414 Å, rel. 12